The following is a calculated powder X-ray diffraction pattern of Ce4ThPt5. It was derived from a cell relaxed with GGA-PBE, using CuKα.
Intensities are scaled so that the largest is 100.

Atomic structure:
a = 9.290 Å, b = 9.290 Å, c = 5.881 Å
α = 90.00°, β = 90.00°, γ = 90.00°
Space group I4/m (No. 87)
Symmetry-distinct sites (fractional):
Ce: 0.101 0.300 0.000 (multiplicity 8)
Th: 0.000 0.000 0.500 (multiplicity 2)
Pt: 0.000 0.000 0.000 (multiplicity 2)
Pt: 0.099 0.300 0.500 (multiplicity 8)

Principal peaks in the range 2θ = 10–90°, by intensity:
- hkl 1 3 0, 30.42°, 2.939 Å, rel. 100
- hkl 4 2 0, 43.55°, 2.078 Å, rel. 76
- hkl 7 1 0, 71.83°, 1.314 Å, rel. 35
- hkl 4 2 2, 54.05°, 1.697 Å, rel. 27
- hkl 7 1 2, 79.97°, 1.200 Å, rel. 26
- hkl 2 6 0, 63.29°, 1.469 Å, rel. 13